# 1
Starting from the GGA-PBE geometry in the Materials Project, the PXRD pattern of NdAsO4 was calculated for a wavelength of 1.5418 Å.
No peak broadening, texture or thermal motion is included.

Largest 10 diffraction maxima, low angle first, 2θ from 10° to 90°:
18.74 deg, I = 9
28.75 deg, I = 100
30.41 deg, I = 17
34.68 deg, I = 21
46.78 deg, I = 29
49.86 deg, I = 12
53.01 deg, I = 18
58.57 deg, I = 28
59.53 deg, I = 12
75.74 deg, I = 13

Cell and atoms:
a = 6.924 Å, b = 6.924 Å, c = 6.924 Å
α = 136.13°, β = 136.13°, γ = 63.78°
Element x y z (fractional)
Nd (0.375, 0.125, 0.250)
Nd (0.625, 0.875, 0.750)
As (0.125, 0.375, 0.750)
As (0.875, 0.625, 0.250)
O (0.066, 0.204, 0.364)
O (0.202, 0.566, 0.362)
O (0.296, 0.161, 0.862)
O (0.339, 0.702, 0.136)
O (0.661, 0.298, 0.864)
O (0.704, 0.839, 0.138)
O (0.798, 0.434, 0.638)
O (0.934, 0.796, 0.636)

=====

# 2
Starting from the GGA-PBE geometry in the Materials Project, the PXRD pattern of AsS was calculated for a wavelength of 1.5418 Å.
No peak broadening, texture or thermal motion is included.

Largest 10 diffraction maxima, low angle first, 2θ from 10° to 90°:
13.11 deg, I = 17
25.46 deg, I = 32
25.60 deg, I = 44
28.66 deg, I = 27
32.63 deg, I = 21
35.13 deg, I = 18
36.42 deg, I = 100
40.06 deg, I = 20
41.84 deg, I = 20
59.12 deg, I = 21

Cell and atoms:
a = 7.288 Å, b = 7.288 Å, c = 6.996 Å
α = 90.00°, β = 90.00°, γ = 44.23°
Element x y z (fractional)
As (0.061, 0.939, 0.500)
As (0.315, 0.389, 0.003)
As (0.389, 0.315, 0.503)
As (0.611, 0.685, 0.003)
As (0.685, 0.611, 0.503)
As (0.939, 0.061, 0.000)
S (0.025, 0.251, 0.680)
S (0.251, 0.025, 0.180)
S (0.363, 0.637, 0.841)
S (0.637, 0.363, 0.341)
S (0.749, 0.975, 0.680)
S (0.975, 0.749, 0.180)

=====

# 3
Starting from the GGA-PBE geometry in the Materials Project, the PXRD pattern of Ba6LiNb2IrCl2O12 was calculated for a wavelength of 1.5418 Å.
No peak broadening, texture or thermal motion is included.

Largest 10 diffraction maxima, low angle first, 2θ from 10° to 90°:
18.05 deg, I = 18
18.33 deg, I = 20
24.32 deg, I = 27
29.00 deg, I = 100
29.32 deg, I = 25
29.52 deg, I = 43
30.58 deg, I = 51
41.86 deg, I = 25
42.88 deg, I = 20
60.12 deg, I = 19

Cell and atoms:
a = 6.176 Å, b = 6.176 Å, c = 15.254 Å
α = 92.62°, β = 92.62°, γ = 56.50°
Element x y z (fractional)
Ba (0.000, 0.000, 0.000)
Ba (0.003, 0.003, 0.581)
Ba (0.031, 0.031, 0.252)
Ba (0.624, 0.624, 0.429)
Ba (0.649, 0.649, 0.850)
Ba (0.689, 0.689, 0.132)
Li (0.864, 0.864, 0.383)
Nb (0.317, 0.317, 0.397)
Nb (0.332, 0.332, 0.027)
Ir (0.332, 0.332, 0.215)
Cl (0.656, 0.656, 0.637)
Cl (0.999, 0.999, 0.792)
O (0.015, 0.507, 0.302)
O (0.159, 0.651, 0.461)
O (0.163, 0.163, 0.453)
O (0.171, 0.639, 0.129)
O (0.179, 0.179, 0.123)
O (0.481, 0.481, 0.302)
O (0.485, 0.485, 0.970)
O (0.497, 0.999, 0.970)
O (0.507, 0.015, 0.302)
O (0.639, 0.171, 0.129)
O (0.651, 0.159, 0.461)
O (0.999, 0.497, 0.970)

=====

# 4
Starting from the GGA-PBE geometry in the Materials Project, the PXRD pattern of Ta2Be was calculated for a wavelength of 1.5418 Å.
No peak broadening, texture or thermal motion is included.

Largest 10 diffraction maxima, low angle first, 2θ from 10° to 90°:
20.80 deg, I = 13
29.57 deg, I = 15
36.63 deg, I = 23
38.02 deg, I = 100
47.60 deg, I = 14
61.53 deg, I = 11
66.62 deg, I = 15
66.88 deg, I = 19
77.52 deg, I = 11
89.66 deg, I = 12

Cell and atoms:
a = 4.926 Å, b = 4.926 Å, c = 4.926 Å
α = 104.36°, β = 104.36°, γ = 120.27°
Element x y z (fractional)
Ta (0.161, 0.661, 0.822)
Ta (0.339, 0.161, 0.500)
Ta (0.661, 0.839, 0.500)
Ta (0.839, 0.339, 0.178)
Be (0.250, 0.250, 0.000)
Be (0.750, 0.750, 0.000)

=====

# 5
Starting from the GGA-PBE geometry in the Materials Project, the PXRD pattern of BaRuN2 was calculated for a wavelength of 1.5418 Å.
No peak broadening, texture or thermal motion is included.

Largest 10 diffraction maxima, low angle first, 2θ from 10° to 90°:
27.61 deg, I = 67
29.14 deg, I = 100
29.28 deg, I = 70
32.22 deg, I = 27
35.09 deg, I = 33
37.42 deg, I = 28
44.09 deg, I = 16
51.84 deg, I = 20
55.16 deg, I = 21
57.69 deg, I = 20

Cell and atoms:
a = 6.661 Å, b = 6.661 Å, c = 8.043 Å
α = 90.00°, β = 90.00°, γ = 125.50°
Element x y z (fractional)
Ba (0.156, 0.844, 0.938)
Ba (0.344, 0.656, 0.438)
Ba (0.656, 0.344, 0.562)
Ba (0.844, 0.156, 0.062)
Ru (0.062, 0.938, 0.371)
Ru (0.438, 0.562, 0.871)
Ru (0.562, 0.438, 0.129)
Ru (0.938, 0.062, 0.629)
N (0.118, 0.882, 0.598)
N (0.154, 0.346, 0.750)
N (0.346, 0.154, 0.250)
N (0.382, 0.618, 0.098)
N (0.618, 0.382, 0.902)
N (0.654, 0.846, 0.750)
N (0.846, 0.654, 0.250)
N (0.882, 0.118, 0.402)

=====

# 6
Starting from the GGA-PBE geometry in the Materials Project, the PXRD pattern of Li2TlF2 was calculated for a wavelength of 1.5418 Å.
No peak broadening, texture or thermal motion is included.

Largest 10 diffraction maxima, low angle first, 2θ from 10° to 90°:
14.52 deg, I = 91
23.74 deg, I = 89
26.53 deg, I = 100
29.29 deg, I = 96
30.37 deg, I = 26
35.15 deg, I = 23
37.87 deg, I = 37
40.09 deg, I = 34
40.76 deg, I = 23
48.58 deg, I = 50

Cell and atoms:
a = 7.808 Å, b = 7.808 Å, c = 7.808 Å
α = 105.03°, β = 105.03°, γ = 118.78°
Element x y z (fractional)
Li (0.045, 0.161, 0.616)
Li (0.045, 0.428, 0.884)
Li (0.161, 0.045, 0.116)
Li (0.428, 0.045, 0.384)
Li (0.572, 0.955, 0.616)
Li (0.839, 0.955, 0.884)
Li (0.955, 0.572, 0.116)
Li (0.955, 0.839, 0.384)
Tl (0.000, 0.500, 0.500)
Tl (0.500, 0.000, 0.000)
Tl (0.500, 0.500, 0.000)
Tl (0.500, 0.500, 0.500)
F (0.120, 0.172, 0.948)
F (0.172, 0.120, 0.448)
F (0.172, 0.724, 0.052)
F (0.276, 0.828, 0.448)
F (0.724, 0.172, 0.552)
F (0.828, 0.276, 0.948)
F (0.828, 0.880, 0.552)
F (0.880, 0.828, 0.052)